(1)
Starting from a cell relaxed with PBE, the powder XRD pattern of SrSmAl was computed for a wavelength of 1.5418 Å.
No peak broadening, texture or thermal motion is included.

Peak list (6 most intense, 10° ≤ 2θ ≤ 80°, in order of rising 2θ)
- d 3.655, 24.36 deg, I = 65.5
- d 3.460, 25.75 deg, I = 31.1
- d 2.928, 30.53 deg, I = 100.0
- d 2.679, 33.44 deg, I = 59.9
- d 2.118, 42.68 deg, I = 32.4
- d 1.591, 57.98 deg, I = 32.0

Structural model:
Lattice parameters (Å, degrees): 13.838 3.789 3.789 90.04 90.00 90.00
Element x y z (fractional)
Sr: 0.151 0.000 0.000
Sr: 0.849 0.000 0.000
Sm: 0.376 0.499 0.499
Sm: 0.624 0.499 0.499
Al: 0.000 0.500 0.500
Al: 0.500 0.999 0.999

(2)
Starting from a cell relaxed with PBE, the powder XRD pattern of Sr2SmAlTe5 was computed for a wavelength of 1.5418 Å.
No peak broadening, texture or thermal motion is included.

Peak list (6 most intense, 10° ≤ 2θ ≤ 80°, in order of rising 2θ)
- d 3.276, 27.22 deg, I = 52.0
- d 3.156, 28.27 deg, I = 100.0
- d 2.740, 32.68 deg, I = 47.4
- d 2.208, 40.87 deg, I = 23.2
- d 1.984, 45.74 deg, I = 22.8
- d 1.831, 49.80 deg, I = 19.5

Structural model:
Lattice parameters (Å, degrees): 10.348 10.348 13.888 90.00 90.00 155.36
Element x y z (fractional)
Sr: 0.119 0.881 0.500
Sr: 0.121 0.879 0.144
Sr: 0.879 0.121 0.644
Sr: 0.881 0.119 0.000
Sm: 0.205 0.795 0.844
Sm: 0.795 0.205 0.344
Al: 0.439 0.561 0.247
Al: 0.561 0.439 0.747
Te: 0.043 0.957 0.857
Te: 0.295 0.705 0.499
Te: 0.314 0.686 0.180
Te: 0.357 0.643 0.823
Te: 0.500 0.500 0.083
Te: 0.500 0.500 0.583
Te: 0.643 0.357 0.323
Te: 0.686 0.314 0.680
Te: 0.705 0.295 0.999
Te: 0.957 0.043 0.357

(3)
Starting from a cell relaxed with PBE, the powder XRD pattern of Tb4SmAl3 was computed for a wavelength of 1.5418 Å.
No peak broadening, texture or thermal motion is included.

Peak list (6 most intense, 10° ≤ 2θ ≤ 80°, in order of rising 2θ)
- d 4.439, 20.00 deg, I = 16.8
- d 3.411, 26.13 deg, I = 21.1
- d 2.705, 33.12 deg, I = 100.0
- d 2.412, 37.28 deg, I = 39.1
- d 1.633, 56.33 deg, I = 17.4
- d 1.443, 64.61 deg, I = 29.0

Structural model:
Lattice parameters (Å, degrees): 4.824 4.824 8.879 90.00 90.00 90.00
Element x y z (fractional)
Tb: 0.000 0.500 0.225
Tb: 0.000 0.500 0.775
Tb: 0.500 0.000 0.225
Tb: 0.500 0.000 0.775
Sm: 0.000 0.000 0.500
Al: 0.000 0.000 0.000
Al: 0.500 0.500 0.000
Al: 0.500 0.500 0.500